Entry 1:
Dy4Co2Bi: simulated powder diffraction line list (Cu Kα, 1.54184 Å), based on the GGA-PBE geometry in Alexandria.

Cell: 6.923 6.954 8.407 Å, 108.24 108.09 104.07°
Space group P1 (No. 1)
Unique sites:
Dy: 0.000 0.000 0.000
Dy: 0.001 0.501 0.001
Dy: 0.020 0.193 0.603
Dy: 0.292 0.563 0.416
Dy: 0.417 0.090 0.398
Dy: 0.424 0.021 0.804
Dy: 0.620 0.717 0.197
Dy: 0.876 0.647 0.585
Co: 0.069 0.829 0.398
Co: 0.231 0.696 0.873
Co: 0.358 0.324 0.128
Co: 0.671 0.931 0.602
Bi: 0.536 0.532 0.782
Bi: 0.755 0.252 0.220

The 10 most intense peaks (10 to 90 degrees two-theta), in order of rising 2θ:
2θ 26.55, I 23.2, (2 0 -1); 2θ 29.21, I 26.8, (0 2 -2); 2θ 32.46, I 64.4, (-1 2 1); 2θ 32.54, I 27.9, (2 -1 1); 2θ 33.11, I 81.7, (1 2 -2); 2θ 33.68, I 100.0, (1 0 2); 2θ 35.07, I 42.9, (2 -2 1); 2θ 36.40, I 31.8, (0 2 1); 2θ 41.21, I 27.1, (3 -1 0); 2θ 43.05, I 20.2, (1 1 2)


Entry 2:
Dy6CoBi: simulated powder diffraction line list (Cu Kα, 1.54184 Å), based on the GGA-PBE geometry in Alexandria.

Cell: 6.7136 6.7136 19.9339 Å, 90.00 90.00 120.00°
Space group R-3 (No. 148, hexagonal axes)
Unique sites:
Dy: 0.0015 0.3723 0.4077
Co: 0.0000 0.0000 0.0000
Bi: 0.0000 0.0000 0.5000

The 10 most intense peaks (10 to 90 degrees two-theta), in order of rising 2θ:
2θ 17.66, I 12.6, (0 1 2); 2θ 23.51, I 17.8, (1 0 4); 2θ 26.83, I 13.8, (0 0 6); 2θ 29.82, I 100.0, (1 1 3); 2θ 31.09, I 10.3, (0 2 1); 2θ 32.07, I 9.9, (2 0 2); 2θ 38.11, I 45.2, (2 -1 6); 2θ 46.88, I 25.8, (3 0 0); 2θ 49.29, I 18.4, (1 1 9); 2θ 56.56, I 12.3, (4 -2 3)